Entry 1:
# RbSbWO6
Computed PXRD pattern, Cu Kα, 1.54184 Å. Input: a PBE+U-relaxed structure.
No peak broadening, texture or thermal motion is included.

a b c (Å): 7.3870 7.3870 7.3870
angles (deg): 120.75 89.59 119.74
Element x y z (fractional)
Rb 0.1421 0.2500 0.3921
Rb 0.8579 0.7500 0.6079
Sb 0.5339 0.0339 0.5000
Sb 0.5339 0.5339 0.0000
W 0.0334 0.5328 0.0006
W 0.5322 0.0328 0.9994
O 0.2148 0.4029 0.9324
O 0.2148 0.7824 0.3119
O 0.2254 0.7845 0.9410
O 0.4625 0.2869 0.6756
O 0.4705 0.2824 0.0676
O 0.4705 0.9029 0.6881
O 0.6002 0.1659 0.3118
O 0.6002 0.7884 0.9343
O 0.6113 0.7869 0.3244
O 0.8435 0.2845 0.0590
O 0.8540 0.2884 0.6882
O 0.8540 0.6659 0.0657

Most intense lines, 10 to 90 degrees two-theta, by angle:
- 14.63°, rel. 21
- 14.78°, rel. 42
- 28.29°, rel. 100
- 28.54°, rel. 29
- 29.51°, rel. 34
- 29.82°, rel. 42
- 45.40°, rel. 21
- 49.35°, rel. 34



Entry 2:
# NaCrSi2O6
Computed PXRD pattern, Cu Kα, 1.54184 Å. Input: a PBE+U-relaxed structure.
No peak broadening, texture or thermal motion is included.

a b c (Å): 6.5856 6.5856 5.3556
angles (deg): 103.16 103.16 84.56
Element x y z (fractional)
Na 0.2030 0.7970 0.7500
Na 0.7970 0.2030 0.2500
Cr 0.4064 0.5936 0.2500
Cr 0.5936 0.4064 0.7500
Si 0.1167 0.2981 0.7649
Si 0.2981 0.1167 0.2649
Si 0.7019 0.8833 0.7351
Si 0.8833 0.7019 0.2351
O 0.1172 0.6032 0.3019
O 0.1413 0.1539 0.9863
O 0.1539 0.1413 0.4863
O 0.3064 0.4649 0.8616
O 0.3968 0.8828 0.1981
O 0.4649 0.3064 0.3616
O 0.5351 0.6936 0.6384
O 0.6032 0.1172 0.8019
O 0.6936 0.5351 0.1384
O 0.8461 0.8587 0.5137
O 0.8587 0.8461 0.0137
O 0.8828 0.3968 0.6981

Most intense lines, 10 to 90 degrees two-theta, by angle:
- 13.82°, rel. 36
- 20.04°, rel. 20
- 29.62°, rel. 100
- 30.62°, rel. 58
- 34.96°, rel. 27
- 35.22°, rel. 40
- 36.16°, rel. 36
- 42.28°, rel. 23